NaNiPd2F6: simulated powder diffraction line list (a wavelength of 1.5418 Å), based on a crystal structure in Alexandria, relaxed with GGA+U.
Peak positions follow from Bragg's law for the DFT cell and can differ from measured ones.

Main lines, by angle (2θ = 5–70°):
2θ (°)  d (Å)  I_rel  index
21.37  4.157  51  0 1 0
21.71  4.093  100  1 1 1
29.33  3.045  52  1 0 1
29.60  3.018  50  1 1 -1
29.81  2.998  48  0 1 2
31.74  2.819  48  -1 1 1
31.91  2.805  89  2 1 0
47.72  1.906  27  1 2 -1
47.85  1.901  26  2 1 2
48.29  1.885  39  1 2 3
48.43  1.880  24  -1 1 3
55.64  1.652  27  -1 2 3

Crystal structure
```
NaNiPd2F6
1.0
5.6011 0.0000 0.0000
2.7795 4.8820 0.0000
0.0310 3.1621 5.1356
Na Ni Pd F
1 1 2 6
Direct
0.0000 0.0000 0.0000
0.5154 0.9672 0.5404
0.2023 0.5941 0.5993
0.7097 0.5764 0.1275
0.1570 0.0704 0.3345
0.3057 0.0920 0.7882
0.4251 0.4234 0.3337
0.6033 0.5111 0.7964
0.7703 0.8083 0.3328
0.8818 0.8047 0.7962
```